Entry 1:
This entry pairs a crystal structure of Pr4CNF2 with its theoretical XRD peak list. Radiation: λ = 1.5418 Å (Cu Kα). Structure: DFT lattice parameters and positions (GGA-PBE).

The 10 most intense peaks (2θ = 5–70°), by angle:
Position (°2θ)	I_rel	(hkl)
13.77	9	0 0 2
27.74	28	0 0 4
28.45	31	1 0 0
29.30	54	1 0 1
35.45	100	1 0 3
40.15	22	0 1 4
50.38	32	1 1 0
58.17	23	1 0 7
58.48	22	1 1 4
63.11	18	0 2 3

Crystal structure
abc: 3.6225 3.6225 12.8656
angles: 90.00 90.00 120.00
Positions (direct):
Pr1 0.3333 0.6667 0.1050
Pr2 0.3333 0.6667 0.3900
Pr3 0.6667 0.3333 0.6100
Pr4 0.6667 0.3333 0.8950
C1 0.0000 0.0000 0.5000
N1 0.0000 0.0000 0.0000
F1 0.3333 0.6667 0.7612
F2 0.6667 0.3333 0.2388



Entry 2:
This entry pairs a crystal structure of TcHgO3 with its theoretical XRD peak list. Radiation: λ = 1.5418 Å (Cu Kα). Structure: DFT lattice parameters and positions (GGA-PBE).

The 10 most intense peaks (2θ = 5–70°), by angle:
Position (°2θ)	I_rel	(hkl)
22.76	9	1 0 0
32.27	100	1 0 1
32.41	49	1 1 0
39.86	16	1 1 1
46.09	14	0 0 2
46.49	27	2 0 0
57.47	20	1 1 2
57.72	39	2 1 1
67.54	17	2 0 2
67.85	8	2 2 0

Crystal structure
abc: 3.9069 3.9069 3.9387
angles: 90.00 90.00 90.00
Positions (direct):
Tc1 0.0000 0.0000 0.0000
Hg1 0.5000 0.5000 0.5000
O1 0.0000 0.0000 0.5000
O2 0.0000 0.5000 0.0000
O3 0.5000 0.0000 0.0000